# 1
This entry pairs a crystal structure of LiTcBr2 with its calculated powder XRD pattern. Radiation: Cu Kα (λ = 1.5418 Å). Structure: a crystal structure in Alexandria, relaxed with PBE.
Intensities are scaled so that the largest is 100.

Largest 6 diffraction maxima, low angle first, 15 to 90 degrees two-theta:
index	d_spacing	I_rel
1 0 1	3.412	47
0 1 3	2.886	73
1 1 2	2.414	100
0 1 5	2.173	24
1 0 5	2.116	31
1 0 7	1.666	23

Structure:
a = 3.531 Å, b = 3.821 Å, c = 13.211 Å
α = 90.00°, β = 90.00°, γ = 90.00°
Space group Imm2 (No. 44)
Asymmetric unit:
Li  0.000  0.000  0.000 [2 per cell]
Tc  0.000  0.500  0.286 [2 per cell]
Br  0.000  0.000  0.445 [2 per cell]
Br  0.000  0.500  0.687 [2 per cell]

# 2
This entry pairs a crystal structure of TlAgGeO3 with its calculated powder XRD pattern. Radiation: Cu Kα (λ = 1.5418 Å). Structure: a crystal structure in Alexandria, relaxed with PBE.
Intensities are scaled so that the largest is 100.

Largest 6 diffraction maxima, low angle first, 15 to 90 degrees two-theta:
index	d_spacing	I_rel
2 0 0	3.180	75
1 3 -1	2.892	100
1 3 1	2.722	70
0 0 2	2.637	47
2 0 -2	2.172	27
3 3 -1	1.820	27

Structure:
a = 6.414 Å, b = 11.624 Å, c = 5.319 Å
α = 90.00°, β = 97.41°, γ = 90.00°
Space group C2/c (No. 15)
Asymmetric unit:
Tl  0.000  0.235  0.250 [4 per cell]
Ag  0.000  0.057  0.750 [4 per cell]
Ge  0.000  0.446  0.750 [4 per cell]
O  0.000  0.296  0.750 [4 per cell]
O  0.175  0.463  0.090 [8 per cell]

# 3
This entry pairs a crystal structure of InH9N3Cl3 with its calculated powder XRD pattern. Radiation: Cu Kα (λ = 1.5418 Å). Structure: a crystal structure in Alexandria, relaxed with PBE.
Intensities are scaled so that the largest is 100.

Largest 6 diffraction maxima, low angle first, 15 to 90 degrees two-theta:
index	d_spacing	I_rel
0 1 -1	5.755	100
0 1 1	5.512	98
1 0 -1	5.291	89
0 0 2	5.083	71
1 -1 0	4.826	71
1 0 -3	2.990	77

Structure:
a = 6.165 Å, b = 6.814 Å, c = 10.178 Å
α = 92.56°, β = 90.84°, γ = 96.63°
Space group P-1 (No. 2)
Asymmetric unit:
In  0.000  0.000  0.000 [1 per cell]
In  0.500  0.500  0.500 [1 per cell]
H  0.039  0.946  0.724 [2 per cell]
H  0.106  0.621  0.403 [2 per cell]
H  0.201  0.394  0.057 [2 per cell]
H  0.205  0.149  0.768 [2 per cell]
H  0.273  0.251  0.174 [2 per cell]
H  0.278  0.824  0.441 [2 per cell]
H  0.281  0.925  0.789 [2 per cell]
H  0.302  0.696  0.302 [2 per cell]
H  0.396  0.250  0.030 [2 per cell]
N  0.152  0.007  0.795 [2 per cell]
N  0.247  0.257  0.074 [2 per cell]
N  0.267  0.682  0.400 [2 per cell]
Cl  0.261  0.488  0.703 [2 per cell]
Cl  0.268  0.764  0.072 [2 per cell]
Cl  0.279  0.180  0.403 [2 per cell]